# 1
Structure and calculated X-ray powder pattern of BaNb3Re (a crystal structure in Alexandria, relaxed with GGA-PBE; Cu Kα (λ = 1.5418 Å)).

Cell and atoms:
```
data_BaNb3Re
_cell_length_a 5.0429
_cell_length_b 5.0429
_cell_length_c 5.0429
_cell_angle_alpha 90.00
_cell_angle_beta 90.00
_cell_angle_gamma 90.00
_space_group_name_H-M_alt 'P m -3 m'
_space_group_IT_number 221
_space_group_name_Hall '-P 4 2 3'
loop_
_atom_site_label
_atom_site_type_symbol
_atom_site_fract_x
_atom_site_fract_y
_atom_site_fract_z
_atom_site_occupancy
Ba1 Ba 0.0000 0.0000 0.0000 1
Nb1 Nb 0.0000 0.5000 0.5000 1
Re1 Re 0.5000 0.5000 0.5000 1
```

Main lines, sorted by position (2θ = 5–70°):
h k l  2theta  I/Imax
1 0 0  17.6  34.8
1 1 0  25.0  65.6
1 1 1  30.7  30.7
2 0 0  35.6  100.0
2 1 0  40.0  17.6
2 1 1  44.0  29.7
2 2 0  51.2  70.1
3 0 0  54.6  9.0
3 1 0  57.8  13.4
3 1 1  60.9  11.9
2 2 2  64.0  23.8
3 2 1  69.8  15.6

=====

# 2
Structure and calculated X-ray powder pattern of BaTi2NbRh (a crystal structure in Alexandria, relaxed with GGA-PBE; Cu Kα (λ = 1.5418 Å)).

Cell and atoms:
```
data_BaTi2NbRh
_cell_length_a 4.9486
_cell_length_b 4.9486
_cell_length_c 5.0397
_cell_angle_alpha 90.00
_cell_angle_beta 90.00
_cell_angle_gamma 90.00
_space_group_name_H-M_alt 'P 4/m m m'
_space_group_IT_number 123
_space_group_name_Hall '-P 4 2'
loop_
_atom_site_label
_atom_site_type_symbol
_atom_site_fract_x
_atom_site_fract_y
_atom_site_fract_z
_atom_site_occupancy
Ba1 Ba 0.0000 0.0000 0.0000 1
Ti1 Ti 0.0000 0.5000 0.5000 1
Nb1 Nb 0.5000 0.5000 0.5000 1
Rh1 Rh 0.5000 0.5000 0.0000 1
```

Main lines, sorted by position (2θ = 5–70°):
h k l  2theta  I/Imax
1 0 0  17.9  17.3
1 0 1  25.2  42.1
1 1 0  25.5  78.3
1 1 1  31.1  93.8
0 0 2  35.6  52.7
2 0 0  36.3  100.0
1 1 2  44.3  35.7
2 1 1  44.7  17.7
2 0 2  51.8  69.8
2 2 0  52.3  33.9
3 1 1  62.1  24.0
2 2 2  64.9  34.6

=====

# 3
Structure and calculated X-ray powder pattern of BaNbRu2 (a crystal structure in Alexandria, relaxed with GGA-PBE; Cu Kα (λ = 1.5418 Å)).

Cell and atoms:
```
data_BaNbRu2
_cell_length_a 5.1965
_cell_length_b 5.1965
_cell_length_c 16.6044
_cell_angle_alpha 90.00
_cell_angle_beta 90.00
_cell_angle_gamma 90.00
_space_group_name_H-M_alt 'I 41/a m d'
_space_group_IT_number 141
loop_
_space_group_symop_operation_xyz
'x,y,z'
'-x,-y,-z'
'-y+1/4,x+3/4,z+1/4'
'y+1/4,-x+3/4,-z+1/4'
'-x+1/2,-y,z+1/2'
'x+1/2,y,-z+1/2'
'y+1/4,-x+1/4,z+3/4'
'-y+1/4,x+1/4,-z+3/4'
'x,-y,-z'
'-x,y,z'
'-y+1/4,-x+1/4,-z+3/4'
'y+1/4,x+1/4,z+3/4'
'-x+1/2,y,-z+1/2'
'x+1/2,-y,z+1/2'
'y+1/4,x+3/4,-z+1/4'
'-y+1/4,-x+3/4,z+1/4'
'x+1/2,y+1/2,z+1/2'
'-x+1/2,-y+1/2,-z+1/2'
'-y+3/4,x+1/4,z+3/4'
'y+3/4,-x+1/4,-z+3/4'
'-x,-y+1/2,z'
'x,y+1/2,-z'
'y+3/4,-x+3/4,z+1/4'
'-y+3/4,x+3/4,-z+1/4'
'x+1/2,-y+1/2,-z+1/2'
'-x+1/2,y+1/2,z+1/2'
'-y+3/4,-x+3/4,-z+1/4'
'y+3/4,x+3/4,z+1/4'
'-x,y+1/2,-z'
'x,-y+1/2,z'
'y+3/4,x+1/4,-z+3/4'
'-y+3/4,-x+1/4,z+3/4'
loop_
_atom_site_label
_atom_site_type_symbol
_atom_site_fract_x
_atom_site_fract_y
_atom_site_fract_z
_atom_site_occupancy
Ba1 Ba 0.0000 0.2500 0.3750 1
Nb1 Nb 0.0000 0.2500 0.8750 1
Ru1 Ru 0.0000 0.0000 0.0000 1
```

Main lines, sorted by position (2θ = 5–70°):
h k l  2theta  I/Imax
1 0 1  17.9  32.4
1 0 3  23.5  43.2
1 1 2  26.5  100.0
1 0 5  32.0  19.6
2 0 0  34.5  24.9
2 0 2  36.2  36.0
2 1 1  39.1  22.5
1 1 6  40.8  31.0
2 0 4  41.0  30.7
0 0 8  43.6  23.3
2 2 4  54.6  47.6
3 1 2  57.1  22.8

=====

# 4
Structure and calculated X-ray powder pattern of Ba6Nb5S17 (a crystal structure in Alexandria, relaxed with GGA-PBE; Cu Kα (λ = 1.5418 Å)).

Cell and atoms:
```
data_Ba6Nb5S17
_cell_length_a 8.8348
_cell_length_b 9.0713
_cell_length_c 9.1662
_cell_angle_alpha 82.56
_cell_angle_beta 82.10
_cell_angle_gamma 85.19
_space_group_name_H-M_alt 'P 1'
_space_group_IT_number 1
_space_group_name_Hall 'P 1'
loop_
_atom_site_label
_atom_site_type_symbol
_atom_site_fract_x
_atom_site_fract_y
_atom_site_fract_z
_atom_site_occupancy
Ba1 Ba 0.0000 0.0000 0.0000 1
Ba2 Ba 0.1490 0.8500 0.5007 1
Ba3 Ba 0.3379 0.3699 0.3352 1
Ba4 Ba 0.4997 0.1661 0.8794 1
Ba5 Ba 0.6780 0.6665 0.6913 1
Ba6 Ba 0.8348 0.5135 0.1744 1
Nb1 Nb 0.0961 0.4127 0.7612 1
Nb2 Nb 0.2572 0.6173 0.9014 1
Nb3 Nb 0.4396 0.7682 0.1349 1
Nb4 Nb 0.7847 0.0941 0.3881 1
Nb5 Nb 0.9070 0.2637 0.5974 1
S1 S 0.0074 0.5143 0.5134 1
S2 S 0.0248 0.1868 0.3433 1
S3 S 0.1535 0.3413 0.0131 1
S4 S 0.1666 0.6737 0.1564 1
S5 S 0.1713 0.1680 0.6621 1
S6 S 0.3055 0.9998 0.1629 1
S7 S 0.3490 0.8461 0.7910 1
S8 S 0.3646 0.4744 0.6944 1
S9 S 0.4871 0.6834 0.3702 1
S10 S 0.4977 0.5270 0.0167 1
S11 S 0.6577 0.1900 0.1874 1
S12 S 0.6636 0.3327 0.5000 1
S13 S 0.6714 0.8445 0.0106 1
S14 S 0.7944 0.0133 0.6608 1
S15 S 0.8281 0.3232 0.8492 1
S16 S 0.8375 0.8474 0.3468 1
S17 S 0.9951 0.6693 0.8368 1
```

Main lines, sorted by position (2θ = 5–70°):
h k l  2theta  I/Imax
0 1 2  21.0  76.0
2 0 1  21.4  34.8
1 2 0  21.7  35.8
1 -2 1  25.4  69.1
-2 1 1  25.9  72.9
1 1 -2  26.1  69.7
-1 3 1  33.1  100.0
3 -1 1  33.7  39.0
1 3 -1  34.0  53.8
3 1 -1  34.8  56.7
0 2 4  42.7  47.8
4 2 0  44.9  37.4

=====

# 5
Structure and calculated X-ray powder pattern of Ba3Nb2S7 (a crystal structure in Alexandria, relaxed with GGA-PBE; Cu Kα (λ = 1.5418 Å)).

Cell and atoms:
```
data_Ba3Nb2S7
_cell_length_a 4.9441
_cell_length_b 25.3772
_cell_length_c 4.8129
_cell_angle_alpha 90.00
_cell_angle_beta 90.00
_cell_angle_gamma 90.00
_space_group_name_H-M_alt 'C m m m'
_space_group_IT_number 65
_space_group_name_Hall '-C 2 2'
loop_
_atom_site_label
_atom_site_type_symbol
_atom_site_fract_x
_atom_site_fract_y
_atom_site_fract_z
_atom_site_occupancy
Ba1 Ba 0.0000 0.0000 0.0000 1
Ba2 Ba 0.0000 0.1805 0.0000 1
Nb1 Nb 0.0000 0.4013 0.5000 1
S1 S 0.0000 0.0948 0.5000 1
S2 S 0.0000 0.3026 0.5000 1
S3 S 0.0000 0.4013 0.0000 1
S4 S 0.0000 0.5000 0.5000 1
```

Main lines, sorted by position (2θ = 5–70°):
h k l  2theta  I/Imax
1 5 0  25.1  88.5
1 1 1  26.1  100.0
0 6 1  28.1  76.6
1 5 1  31.4  80.1
0 10 0  35.4  38.8
2 0 0  36.3  58.7
0 0 2  37.4  54.2
1 5 2  45.6  36.4
2 6 1  46.5  38.3
1 11 1  47.4  42.2
2 10 0  51.6  24.8
2 0 2  53.1  37.6

=====

# 6
Structure and calculated X-ray powder pattern of Ba2NbTl2S6 (a crystal structure in Alexandria, relaxed with GGA-PBE; Cu Kα (λ = 1.5418 Å)).

Cell and atoms:
```
data_Ba2NbTl2S6
_cell_length_a 7.6961
_cell_length_b 12.8637
_cell_length_c 7.1854
_cell_angle_alpha 90.00
_cell_angle_beta 105.78
_cell_angle_gamma 90.00
_space_group_name_H-M_alt 'C 1 2/m 1'
_space_group_IT_number 12
_space_group_name_Hall '-C 2y'
loop_
_atom_site_label
_atom_site_type_symbol
_atom_site_fract_x
_atom_site_fract_y
_atom_site_fract_z
_atom_site_occupancy
Ba1 Ba 0.0000 0.1652 0.0000 1
Nb1 Nb 0.0000 0.5000 0.0000 1
Tl1 Tl 0.0000 0.3541 0.5000 1
S1 S 0.1906 0.3635 0.2046 1
S2 S 0.2041 0.5000 0.7796 1
```

Main lines, sorted by position (2θ = 5–70°):
h k l  2theta  I/Imax
1 1 0  13.8  51.0
1 1 -1  16.5  29.3
1 1 1  21.0  21.8
2 0 0  24.0  35.6
1 3 -1  25.7  51.2
0 0 2  25.8  27.9
1 3 1  28.8  100.0
2 0 -2  30.2  48.9
2 0 2  40.2  18.9
3 3 -1  41.1  33.7
1 3 -3  43.3  31.4
4 0 0  49.3  20.7

=====

# 7
Structure and calculated X-ray powder pattern of BaNbSb2 (a crystal structure in Alexandria, relaxed with GGA-PBE; Cu Kα (λ = 1.5418 Å)).

Cell and atoms:
```
data_BaNbSb2
_cell_length_a 8.2339
_cell_length_b 8.2339
_cell_length_c 8.2587
_cell_angle_alpha 90.00
_cell_angle_beta 90.00
_cell_angle_gamma 90.00
_space_group_name_H-M_alt 'I -4 2 d'
_space_group_IT_number 122
_space_group_name_Hall 'I -4 2bw'
loop_
_atom_site_label
_atom_site_type_symbol
_atom_site_fract_x
_atom_site_fract_y
_atom_site_fract_z
_atom_site_occupancy
Ba1 Ba 0.0000 0.0000 0.0000 1
Nb1 Nb 0.0000 0.0000 0.5000 1
Sb1 Sb 0.1795 0.2500 0.6250 1
```

Main lines, sorted by position (2θ = 5–70°):
h k l  2theta  I/Imax
1 1 2  26.5  100.0
2 2 0  30.7  39.3
3 0 1  34.4  12.8
3 1 2  41.0  46.5
4 0 0  44.0  10.2
4 1 1  46.8  6.2
2 0 4  49.4  27.7
4 2 0  49.5  4.2
3 3 2  52.0  13.3
4 3 1  57.0  13.1
5 1 2  61.7  10.8
4 2 4  68.3  8.1

=====

# 8
Structure and calculated X-ray powder pattern of Ba4Nb3Se12 (a crystal structure in Alexandria, relaxed with GGA-PBE; Cu Kα (λ = 1.5418 Å)).

Cell and atoms:
```
data_Ba4Nb3Se12
_cell_length_a 6.0389
_cell_length_b 6.9265
_cell_length_c 12.6641
_cell_angle_alpha 90.00
_cell_angle_beta 92.68
_cell_angle_gamma 90.00
_space_group_name_H-M_alt 'P 1 2/m 1'
_space_group_IT_number 10
_space_group_name_Hall '-P 2y'
loop_
_atom_site_label
_atom_site_type_symbol
_atom_site_fract_x
_atom_site_fract_y
_atom_site_fract_z
_atom_site_occupancy
Ba1 Ba 0.2276 0.0000 0.1972 1
Ba2 Ba 0.2698 0.5000 0.6507 1
Nb1 Nb 0.0000 0.5000 0.0000 1
Nb2 Nb 0.5000 0.0000 0.5000 1
Nb3 Nb 0.5000 0.5000 0.0000 1
Se1 Se 0.2315 0.2592 0.4205 1
Se2 Se 0.2433 0.2347 0.9171 1
Se3 Se 0.2662 0.5000 0.1721 1
Se4 Se 0.2806 0.0000 0.6741 1
```

Main lines, sorted by position (2θ = 5–70°):
h k l  2theta  I/Imax
0 1 3  24.7  24.3
0 2 2  29.4  22.6
2 0 0  29.6  52.5
1 0 -4  31.3  61.1
1 0 4  32.6  44.5
1 2 -2  32.7  71.8
1 2 2  33.3  100.0
2 0 2  33.5  26.1
2 2 -2  41.7  35.9
2 2 2  42.7  33.6
0 2 6  50.7  41.2
0 4 0  52.9  31.1

=====

# 9
Structure and calculated X-ray powder pattern of Ba4Nb3Se12 (a crystal structure in Alexandria, relaxed with GGA-PBE; Cu Kα (λ = 1.5418 Å)).

Cell and atoms:
```
data_Ba4Nb3Se12
_cell_length_a 16.7666
_cell_length_b 6.8582
_cell_length_c 12.3797
_cell_angle_alpha 90.00
_cell_angle_beta 130.64
_cell_angle_gamma 90.00
_space_group_name_H-M_alt 'C 1 2/m 1'
_space_group_IT_number 12
_space_group_name_Hall '-C 2y'
loop_
_atom_site_label
_atom_site_type_symbol
_atom_site_fract_x
_atom_site_fract_y
_atom_site_fract_z
_atom_site_occupancy
Ba1 Ba 0.1497 0.0000 0.0153 1
Ba2 Ba 0.1553 0.0000 0.5208 1
Nb1 Nb 0.0000 0.5000 0.5000 1
Nb2 Nb 0.0084 0.5000 0.2282 1
Se1 Se 0.0852 0.2392 0.7012 1
Se2 Se 0.0945 0.2363 0.2071 1
Se3 Se 0.1627 0.5000 0.5178 1
Se4 Se 0.1670 0.5000 0.0125 1
```

Main lines, sorted by position (2θ = 5–70°):
h k l  2theta  I/Imax
3 1 0  24.7  24.9
4 0 0  28.1  19.2
4 0 -4  29.0  47.3
2 0 2  30.1  42.8
0 2 2  32.3  86.4
6 0 -2  33.2  28.0
4 2 -2  33.8  100.0
0 0 4  38.3  27.8
6 2 -4  43.1  20.2
6 2 0  50.6  40.5
4 2 -6  52.6  21.6
0 4 0  53.4  20.4

=====

# 10
Structure and calculated X-ray powder pattern of Ba2Nb2Sn (a crystal structure in Alexandria, relaxed with GGA-PBE; Cu Kα (λ = 1.5418 Å)).

Cell and atoms:
```
data_Ba2Nb2Sn
_cell_length_a 3.7693
_cell_length_b 3.7693
_cell_length_c 23.2657
_cell_angle_alpha 90.00
_cell_angle_beta 90.00
_cell_angle_gamma 90.00
_space_group_name_H-M_alt 'I 4/m m m'
_space_group_IT_number 139
_space_group_name_Hall '-I 4 2'
loop_
_atom_site_label
_atom_site_type_symbol
_atom_site_fract_x
_atom_site_fract_y
_atom_site_fract_z
_atom_site_occupancy
Ba1 Ba 0.0000 0.0000 0.1051 1
Nb1 Nb 0.0000 0.5000 0.2500 1
Sn1 Sn 0.0000 0.0000 0.5000 1
```

Main lines, sorted by position (2θ = 5–70°):
h k l  2theta  I/Imax
0 0 6  22.9  22.7
1 0 3  26.3  51.4
1 0 5  30.5  100.0
0 0 8  30.7  35.0
1 1 2  34.5  70.9
1 1 4  37.1  36.4
2 0 0  48.3  31.6
1 1 10  52.2  47.9
2 1 3  55.8  13.0
1 0 13  57.0  10.4
2 1 5  58.2  32.1
2 0 8  58.3  22.4